Diffraction record for NaPH6NO4F. The powder diffraction line list is simulated, not measured: it uses the GGA-PBE geometry in Alexandria and Cu Kα (λ = 1.5418 Å).
No peak broadening, texture or thermal motion is included.

Structure:
a b c (Å): 4.969 9.145 7.841
angles (deg): 90.00 128.68 90.00
Positions (direct):
Na (0.000, 0.047, 0.000)
Na (0.000, 0.953, 0.500)
P (0.604, 0.223, 0.491)
P (0.604, 0.777, 0.991)
H (0.008, 0.363, 0.889)
H (0.008, 0.637, 0.389)
H (0.237, 0.480, 0.465)
H (0.237, 0.520, 0.965)
H (0.251, 0.421, 0.154)
H (0.251, 0.579, 0.654)
H (0.411, 0.208, 0.889)
H (0.411, 0.792, 0.389)
H (0.649, 0.192, 0.140)
H (0.649, 0.808, 0.640)
H (0.883, 0.489, 0.458)
H (0.883, 0.511, 0.958)
N (0.092, 0.454, 0.989)
N (0.092, 0.546, 0.489)
O (0.532, 0.387, 0.435)
O (0.532, 0.613, 0.935)
O (0.548, 0.128, 0.313)
O (0.548, 0.872, 0.813)
O (0.656, 0.214, 0.019)
O (0.656, 0.786, 0.519)
O (0.932, 0.192, 0.722)
O (0.932, 0.808, 0.222)
F (0.296, 0.173, 0.500)
F (0.296, 0.827, 0.000)

Most intense lines, 15° ≤ 2θ ≤ 90°, in order of rising 2θ:
| (hkl) | d (Å) | 2θ/deg | I/Imax |
| --- | --- | --- | --- |
| 0 1 1 | 5.087 | 17.43 | 74 |
| 1 1 -1 | 4.366 | 20.34 | 100 |
| 0 0 2 | 3.060 | 29.18 | 69 |
| 0 3 0 | 3.048 | 29.30 | 30 |
| 1 2 0 | 2.958 | 30.22 | 57 |
| 1 2 -2 | 2.939 | 30.41 | 95 |